This entry pairs a crystal structure of Rb2NpBr4 with its calculated powder X-ray diffraction pattern. Radiation: copper Kα. Structure: the PBE geometry in Alexandria.

Main lines, in order of rising 2θ (2θ from 5° to 70°):
| d (Å) | I/Imax | hkl |
| --- | --- | --- |
| 8.769 | 84 | 0 0 2 |
| 5.511 | 60 | 1 0 1 |
| 4.110 | 100 | 1 1 0 |
| 3.001 | 66 | 1 0 5 |
| 2.923 | 34 | 0 0 6 |
| 2.903 | 89 | 2 0 0 |
| 2.087 | 39 | 2 1 5 |
| 2.060 | 50 | 2 0 6 |
| 2.052 | 33 | 2 2 0 |
| 1.680 | 26 | 2 2 6 |

Structural model:
Cell: 5.8053 5.8053 17.5386 Å, 90.00 90.00 90.00°
Space group I4/mmm (No. 139)
Asymmetric unit:
1 Rb 0.0000 0.0000 0.1375
2 Np 0.0000 0.0000 0.5000
3 Br 0.0000 0.0000 0.3313
4 Br 0.0000 0.5000 0.0000

---

This entry pairs a crystal structure of DyTm5In4 with its calculated powder X-ray diffraction pattern. Radiation: copper Kα. Structure: the PBE geometry in Alexandria.

Main lines, in order of rising 2θ (2θ from 5° to 70°):
| d (Å) | I/Imax | hkl |
| --- | --- | --- |
| 2.950 | 3 | 1 0 4 |
| 2.727 | 100 | 1 0 5 |
| 2.514 | 3 | 1 0 6 |
| 2.496 | 42 | 1 1 0 |
| 2.148 | 10 | 0 0 10 |
| 1.765 | 15 | 2 0 0 |
| 1.628 | 17 | 1 1 10 |
| 1.538 | 3 | 1 1 11 |
| 1.482 | 31 | 2 1 5 |
| 1.364 | 9 | 2 0 10 |

Structural model:
Cell: 3.5305 3.5305 21.4782 Å, 90.00 90.00 90.00°
Space group P4/mmm (No. 123)
Asymmetric unit:
1 Dy 0.0000 0.0000 0.0000
2 Tm 0.5000 0.5000 0.1139
3 Tm 0.5000 0.5000 0.3065
4 Tm 0.5000 0.5000 0.5000
5 In 0.0000 0.0000 0.2104
6 In 0.0000 0.0000 0.4033

---

This entry pairs a crystal structure of Er5Th2Pb4 with its calculated powder X-ray diffraction pattern. Radiation: copper Kα. Structure: the PBE geometry in Alexandria.

Main lines, in order of rising 2θ (2θ from 5° to 70°):
| d (Å) | I/Imax | hkl |
| --- | --- | --- |
| 3.613 | 34 | 1 2 1 |
| 2.939 | 53 | 1 3 0 |
| 2.836 | 23 | 1 2 3 |
| 2.758 | 38 | 0 2 4 |
| 2.691 | 46 | 2 0 0 |
| 2.681 | 100 | 1 1 4 |
| 1.926 | 28 | 2 2 4 |
| 1.677 | 17 | 1 5 4 |
| 1.552 | 19 | 3 1 4 |
| 1.345 | 14 | 4 0 0 |

Structural model:
Cell: 5.3816 10.5226 12.9530 Å, 90.00 90.00 90.00°
Space group Immm (No. 71)
Asymmetric unit:
1 Er 0.0000 0.0000 0.0000
2 Er 0.0000 0.1602 0.2588
3 Th 0.0000 0.5000 0.3546
4 Pb 0.0000 0.2406 0.5000
5 Pb 0.0000 0.5000 0.1164

---

- Which formula does entry 1 have?
  Rb2NpBr4